Ba10Tl3In3: computed powder XRD pattern (CuKα), based on a GGA-PBE-relaxed structure.

Top 6 peaks for 2θ from 10° to 80°, in order of falling intensity:
2θ (°)  Rel. int.
28.09  100
29.72  93
28.63  70
36.80  38
45.52  27
51.73  25

Structural model:
Cell lengths 10.8017, 10.8017, 7.2379 Å; angles 90.00, 90.00, 120.00 degrees
Space group P-62m (No. 189)
Asymmetric unit:
1 Ba 0.0000 0.2674 0.0000 x3
2 Ba 0.0000 0.7332 0.5000 x3
3 Ba 0.3333 0.6667 0.2509 x4
4 Tl 0.0000 0.6019 0.0000 x3
5 In 0.0000 0.3982 0.5000 x3



Ba7Tl2In2: computed powder XRD pattern (CuKα), based on a GGA-PBE-relaxed structure.

Top 6 peaks for 2θ from 10° to 80°, in order of falling intensity:
2θ (°)  Rel. int.
31.28  100
30.20  65
27.26  61
22.15  58
23.10  34
50.79  26

Structural model:
Cell lengths 8.964, 13.086, 9.021 Å; angles 90.00, 90.00, 90.00 degrees
Space group Cmmm (No. 65)
Asymmetric unit:
1 Ba 0.000 0.000 0.000 x2
2 Ba 0.000 0.500 0.267 x4
3 Ba 0.250 0.250 0.288 x8
4 Tl 0.000 0.292 0.000 x4
5 In 0.160 0.000 0.500 x4



Ba3Tl3In8: computed powder XRD pattern (CuKα), based on a GGA-PBE-relaxed structure.

Top 6 peaks for 2θ from 10° to 80°, in order of falling intensity:
2θ (°)  Rel. int.
29.35  100
35.71  30
35.56  27
31.33  26
51.28  19
28.93  17

Structural model:
Cell lengths 5.029, 11.704, 15.149 Å; angles 90.00, 90.00, 90.00 degrees
Space group Immm (No. 71)
Asymmetric unit:
1 Ba 0.000 0.000 0.000 x2
2 Ba 0.000 0.000 0.316 x4
3 Tl 0.000 0.207 0.500 x4
4 Tl 0.000 0.500 0.000 x2
5 In 0.000 0.269 0.152 x8
6 In 0.000 0.374 0.337 x8



Ba2Tl4In3: computed powder XRD pattern (CuKα), based on a GGA-PBE-relaxed structure.

Top 6 peaks for 2θ from 10° to 80°, in order of falling intensity:
2θ (°)  Rel. int.
32.07  100
29.47  65
29.15  45
30.25  42
31.22  27
35.45  27

Structural model:
Cell lengths 6.945, 18.052, 9.380 Å; angles 90.00, 90.00, 90.00 degrees
Space group Cmce (No. 64)
Asymmetric unit:
1 Ba 0.000 0.113 0.087 x8
2 Tl 0.000 0.179 0.473 x8
3 Tl 0.250 0.056 0.750 x8
4 In 0.000 0.000 0.500 x4
5 In 0.250 0.224 0.750 x8



BaTlIn6: computed powder XRD pattern (CuKα), based on a GGA-PBE-relaxed structure.

Top 6 peaks for 2θ from 10° to 80°, in order of falling intensity:
2θ (°)  Rel. int.
32.15  100
33.32  33
31.10  25
31.70  19
58.82  17
35.93  16

Structural model:
Cell lengths 5.378, 7.963, 11.290 Å; angles 90.00, 90.00, 90.00 degrees
Space group Amm2 (No. 38)
Asymmetric unit:
1 Ba 0.000 0.000 0.000 x2
2 Tl 0.500 0.000 0.746 x2
3 In 0.000 0.000 0.561 x2
4 In 0.000 0.201 0.280 x4
5 In 0.500 0.000 0.208 x2
6 In 0.500 0.196 0.468 x4



Ba2Tl2In3: computed powder XRD pattern (CuKα), based on a GGA-PBE-relaxed structure.

Top 6 peaks for 2θ from 10° to 80°, in order of falling intensity:
2θ (°)  Rel. int.
28.52  100
33.28  72
31.87  67
28.75  56
34.90  56
24.50  24

Structural model:
Cell lengths 12.710, 5.142, 7.807 Å; angles 90.00, 111.44, 90.00 degrees
Space group C2/m (No. 12)
Asymmetric unit:
1 Ba 0.145 0.000 0.271 x4
2 Tl 0.164 0.000 0.761 x4
3 In 0.000 0.500 0.500 x2
4 In 0.088 0.500 0.912 x4



BaTlIn: computed powder XRD pattern (CuKα), based on a GGA-PBE-relaxed structure.

Top 6 peaks for 2θ from 10° to 80°, in order of falling intensity:
2θ (°)  Rel. int.
28.46  100
33.39  89
33.97  43
28.64  28
35.84  23
44.93  21

Structural model:
Cell lengths 12.572, 5.278, 8.542 Å; angles 90.00, 131.95, 90.00 degrees
Space group C2/m (No. 12)
Asymmetric unit:
1 Ba 0.000 0.000 0.000 x2
2 Ba 0.000 0.000 0.500 x2
3 Tl 0.168 0.500 0.366 x4
4 In 0.174 0.500 0.966 x4



Ba2Tl5In4: computed powder XRD pattern (CuKα), based on a GGA-PBE-relaxed structure.

Top 6 peaks for 2θ from 10° to 80°, in order of falling intensity:
2θ (°)  Rel. int.
29.94  100
30.71  68
36.33  43
33.98  38
36.50  31
31.52  25

Structural model:
Cell lengths 12.780, 7.219, 10.075 Å; angles 90.00, 128.22, 90.00 degrees
Space group C2/m (No. 12)
Asymmetric unit:
1 Ba 0.071 0.000 0.278 x4
2 Tl 0.000 0.500 0.000 x2
3 Tl 0.171 0.224 0.676 x8
4 In 0.076 0.500 0.365 x4
5 In 0.223 0.500 0.954 x4



BaTlIn: computed powder XRD pattern (CuKα), based on a GGA-PBE-relaxed structure.

Top 6 peaks for 2θ from 10° to 80°, in order of falling intensity:
2θ (°)  Rel. int.
34.50  100
28.43  96
33.28  68
27.87  53
28.59  38
60.25  36

Structural model:
Cell lengths 12.319, 5.385, 8.635 Å; angles 90.00, 133.69, 90.00 degrees
Space group C2/m (No. 12)
Asymmetric unit:
1 Ba 0.045 0.000 0.295 x4
2 Tl 0.165 0.500 0.736 x4
3 In 0.160 0.500 0.103 x4



BaTm2In4: computed powder XRD pattern (CuKα), based on a GGA-PBE-relaxed structure.

Top 6 peaks for 2θ from 10° to 80°, in order of falling intensity:
2θ (°)  Rel. int.
30.79  100
34.11  65
31.33  41
36.18  36
38.91  26
48.60  24

Structural model:
Cell lengths 3.793, 4.966, 21.686 Å; angles 90.00, 90.00, 90.00 degrees
Space group Immm (No. 71)
Asymmetric unit:
1 Ba 0.000 0.000 0.000 x2
2 Tm 0.000 0.500 0.199 x4
3 In 0.000 0.000 0.423 x4
4 In 0.000 0.500 0.342 x4



Ba3ZnIn4: computed powder XRD pattern (CuKα), based on a GGA-PBE-relaxed structure.

Top 6 peaks for 2θ from 10° to 80°, in order of falling intensity:
2θ (°)  Rel. int.
33.75  100
33.47  83
30.01  58
30.89  53
57.61  36
23.48  35

Structural model:
Cell lengths 6.453, 13.109, 6.684 Å; angles 90.00, 90.00, 90.00 degrees
Space group Pmmn (No. 59, origin choice 2)
Asymmetric unit:
1 Ba 0.250 0.007 0.189 x4
2 Ba 0.250 0.750 0.532 x2
3 Zn 0.250 0.250 0.332 x2
4 In 0.007 0.750 0.020 x4
5 In 0.250 0.124 0.680 x4



Ba3Zn8In3: computed powder XRD pattern (CuKα), based on a GGA-PBE-relaxed structure.

Top 6 peaks for 2θ from 10° to 80°, in order of falling intensity:
2θ (°)  Rel. int.
31.82  100
36.56  34
35.61  29
33.39  25
36.76  23
52.81  16

Structural model:
Cell lengths 4.915, 9.620, 14.671 Å; angles 90.00, 90.00, 90.00 degrees
Space group Immm (No. 71)
Asymmetric unit:
1 Ba 0.000 0.000 0.000 x2
2 Ba 0.000 0.000 0.302 x4
3 Zn 0.000 0.270 0.151 x8
4 Zn 0.000 0.362 0.332 x8
5 In 0.000 0.209 0.500 x4
6 In 0.000 0.500 0.000 x2



BaZnIn3: computed powder XRD pattern (CuKα), based on a GGA-PBE-relaxed structure.

Top 6 peaks for 2θ from 10° to 80°, in order of falling intensity:
2θ (°)  Rel. int.
30.01  100
37.12  53
28.86  37
62.57  24
41.84  23
39.84  21

Structural model:
Cell lengths 4.844, 4.844, 12.059 Å; angles 90.00, 90.00, 90.00 degrees
Space group I4mm (No. 107)
Asymmetric unit:
1 Ba 0.000 0.000 0.000 x2
2 Zn 0.000 0.000 0.615 x2
3 In 0.000 0.000 0.390 x2
4 In 0.000 0.500 0.239 x4



Ba6ZnIn: computed powder XRD pattern (CuKα), based on a GGA-PBE-relaxed structure.

Top 6 peaks for 2θ from 10° to 80°, in order of falling intensity:
2θ (°)  Rel. int.
26.34  100
29.48  59
50.42  33
22.26  22
42.18  22
38.51  20

Structural model:
Cell lengths 6.059, 6.059, 22.054 Å; angles 90.00, 90.00, 90.00 degrees
Space group I4/mmm (No. 139)
Asymmetric unit:
1 Ba 0.000 0.000 0.246 x4
2 Ba 0.000 0.500 0.090 x8
3 Zn 0.000 0.000 0.500 x2
4 In 0.000 0.000 0.000 x2